Structure and simulated powder diffractogram of CaP2N (a crystal structure in Alexandria, relaxed with PBE; λ = 1.5418 Å (Cu Kα)).
Lines closer than 0.1° are merged.

Top 10 peaks for 2θ = 10–80°, sorted by position:
d/Å  I_rel
2.763  100.0
2.574  90.3
2.334  12.8
2.220  19.1
2.181  12.9
1.951  13.3
1.712  24.9
1.545  20.1
1.390  15.4
1.380  20.8

Structural model:
Cell lengths 5.637, 5.637, 5.637 Å; angles 113.64, 113.64, 101.42 degrees
Sites, in units of the cell vectors:
Ca 0.000 0.000 0.000
Ca 0.750 0.250 0.500
P 0.255 0.625 0.130
P 0.375 0.505 0.630
P 0.495 0.125 0.870
P 0.875 0.745 0.370
N 0.250 0.750 0.500
N 0.500 0.500 0.000

---

Structure and simulated powder diffractogram of Ca6PN2 (a crystal structure in Alexandria, relaxed with PBE; λ = 1.5418 Å (Cu Kα)).
Lines closer than 0.1° are merged.

Top 10 peaks for 2θ = 10–80°, sorted by position:
d/Å  I_rel
4.419  25.1
3.180  74.1
3.096  36.8
2.852  100.0
2.653  23.9
2.432  63.3
2.422  35.5
2.125  47.5
1.716  21.8
1.583  21.6

Structural model:
Cell lengths 6.789, 6.789, 8.667 Å; angles 121.07, 121.07, 41.99 degrees
Sites, in units of the cell vectors:
Ca 0.030 0.030 0.196
Ca 0.291 0.291 0.918
Ca 0.342 0.342 0.401
Ca 0.658 0.658 0.599
Ca 0.709 0.709 0.082
Ca 0.970 0.970 0.804
P 0.000 0.000 0.500
N 0.177 0.177 0.083
N 0.823 0.823 0.917

---

Structure and simulated powder diffractogram of Ca2PN3 (a crystal structure in Alexandria, relaxed with PBE; λ = 1.5418 Å (Cu Kα)).
Lines closer than 0.1° are merged.

Top 10 peaks for 2θ = 10–80°, sorted by position:
d/Å  I_rel
2.829  29.1
2.796  38.9
2.612  100.0
2.571  95.5
2.531  35.4
2.419  35.1
2.360  25.2
2.075  42.6
1.919  33.7
1.625  25.8

Structural model:
Cell lengths 5.813, 5.813, 11.315 Å; angles 90.00, 90.00, 126.60 degrees
Sites, in units of the cell vectors:
Ca 0.052 0.948 0.858
Ca 0.138 0.862 0.426
Ca 0.362 0.638 0.926
Ca 0.448 0.552 0.358
Ca 0.552 0.448 0.642
Ca 0.638 0.362 0.074
Ca 0.862 0.138 0.574
Ca 0.948 0.052 0.142
P 0.244 0.756 0.665
P 0.256 0.744 0.165
P 0.744 0.256 0.835
P 0.756 0.244 0.335
N 0.039 0.461 0.750
N 0.089 0.911 0.640
N 0.160 0.840 0.051
N 0.340 0.660 0.551
N 0.411 0.589 0.140
N 0.461 0.039 0.250
N 0.539 0.961 0.750
N 0.589 0.411 0.860
N 0.660 0.340 0.449
N 0.840 0.160 0.949
N 0.911 0.089 0.360
N 0.961 0.539 0.250